No. 1
For Pr6IrPd2, a structure optimized by DFT (PBE) gives the theoretical powder diffractogram in this record (Cu Ka).
Intensities are scaled so that the largest is 100.

abc: 6.842 7.601 12.307
angles: 90.00 120.44 90.00
Element x y z (fractional)
Pr: 0.095 0.044 0.253
Pr: 0.095 0.456 0.753
Pr: 0.245 0.676 0.074
Pr: 0.245 0.824 0.574
Pr: 0.403 0.184 0.069
Pr: 0.403 0.316 0.569
Pr: 0.597 0.684 0.431
Pr: 0.597 0.816 0.931
Pr: 0.755 0.176 0.426
Pr: 0.755 0.324 0.926
Pr: 0.905 0.544 0.247
Pr: 0.905 0.956 0.747
Ir: 0.000 0.000 0.000
Ir: 0.000 0.500 0.500
Pd: 0.328 0.115 0.768
Pd: 0.328 0.385 0.268
Pd: 0.672 0.615 0.732
Pd: 0.672 0.885 0.232

Principal peaks in the range 5° ≤ 2θ ≤ 70°, most intense first:
29.5 deg, d = 3.032 Å, I 100, hkl 2 1 -1
29.1 deg, d = 3.070 Å, I 92, hkl 1 0 -4
31.4 deg, d = 2.849 Å, I 84, hkl 1 2 1
27.9 deg, d = 3.195 Å, I 71, hkl 1 2 0
37.9 deg, d = 2.375 Å, I 53, hkl 1 3 -1
14.3 deg, d = 6.179 Å, I 45, hkl 0 1 1
28.7 deg, d = 3.115 Å, I 41, hkl 2 1 -2
45.8 deg, d = 1.980 Å, I 35, hkl 3 1 -5
44.0 deg, d = 2.058 Å, I 34, hkl 3 1 -1
34.6 deg, d = 2.589 Å, I 34, hkl 0 2 3

***

No. 2
For Pr4Ir3Pd, a structure optimized by DFT (PBE) gives the theoretical powder diffractogram in this record (Cu Ka).
Intensities are scaled so that the largest is 100.

abc: 4.051 4.316 11.075
angles: 90.00 90.00 90.00
Element x y z (fractional)
Pr: 0.000 0.000 0.000
Pr: 0.000 0.500 0.278
Pr: 0.500 0.000 0.489
Pr: 0.500 0.500 0.779
Ir: 0.000 0.500 0.554
Ir: 0.500 0.000 0.215
Ir: 0.500 0.500 0.051
Pd: 0.000 0.000 0.717

Principal peaks in the range 5° ≤ 2θ ≤ 70°, most intense first:
31.3 deg, d = 2.854 Å, I 100, hkl 1 1 1
39.1 deg, d = 2.306 Å, I 79, hkl 1 1 3
38.6 deg, d = 2.330 Å, I 32, hkl 0 1 4
41.9 deg, d = 2.158 Å, I 29, hkl 0 2 0
32.3 deg, d = 2.769 Å, I 27, hkl 0 0 4
44.7 deg, d = 2.025 Å, I 24, hkl 2 0 0
32.8 deg, d = 2.729 Å, I 20, hkl 1 0 3
60.6 deg, d = 1.529 Å, I 18, hkl 2 1 4
62.9 deg, d = 1.477 Å, I 17, hkl 2 2 0
63.1 deg, d = 1.474 Å, I 15, hkl 1 0 7

***

No. 3
For PrSi2IrPd2, a structure optimized by DFT (PBE) gives the theoretical powder diffractogram in this record (Cu Ka).
Intensities are scaled so that the largest is 100.

abc: 4.577 4.577 5.687
angles: 90.00 90.00 90.00
Element x y z (fractional)
Pr: 0.000 0.000 0.000
Si: 0.000 0.500 0.500
Si: 0.500 0.000 0.500
Ir: 0.000 0.000 0.500
Pd: 0.500 0.500 0.247
Pd: 0.500 0.500 0.753

Principal peaks in the range 5° ≤ 2θ ≤ 70°, most intense first:
37.2 deg, d = 2.415 Å, I 100, hkl 1 0 2
27.6 deg, d = 3.237 Å, I 88, hkl 1 1 0
55.3 deg, d = 1.661 Å, I 64, hkl 2 1 2
39.4 deg, d = 2.289 Å, I 52, hkl 2 0 0
56.9 deg, d = 1.618 Å, I 18, hkl 2 2 0
64.4 deg, d = 1.447 Å, I 16, hkl 3 1 0
70.0 deg, d = 1.344 Å, I 16, hkl 3 0 2
19.4 deg, d = 4.577 Å, I 10, hkl 1 0 0
15.6 deg, d = 5.687 Å, I 8, hkl 0 0 1
65.7 deg, d = 1.422 Å, I 6, hkl 0 0 4